[1]
Structure and theoretical powder X-ray diffraction pattern of K3Br2Cl (DFT lattice parameters and positions (GGA-PBE); a wavelength of 1.5418 Å).
Lines closer than 0.1° are merged.

Top 10 peaks for 2θ = 10–90°, low angle first:
27.1°, intensity 100
38.4°, intensity 12
38.6°, intensity 48
38.9°, intensity 12
47.6°, intensity 13
48.0°, intensity 12
55.9°, intensity 7
63.0°, intensity 10
63.1°, intensity 10
69.7°, intensity 11

a = 4.6271 Å, b = 6.6001 Å, c = 14.0547 Å
α = 90.00°, β = 90.00°, γ = 90.00°
Space group Immm (No. 71)
Symmetry-distinct sites (fractional):
K  0.0000  0.0000  0.0000
K  0.0000  0.0000  0.3411
Br  0.0000  0.5000  0.3319
Cl  0.0000  0.5000  0.0000

[2]
Structure and theoretical powder X-ray diffraction pattern of K3BrCl2 (DFT lattice parameters and positions (GGA-PBE); a wavelength of 1.5418 Å).
Lines closer than 0.1° are merged.

Top 10 peaks for 2θ = 10–90°, low angle first:
11.6°, intensity 4
27.5°, intensity 100
39.3°, intensity 70
48.6°, intensity 24
56.7°, intensity 4
56.8°, intensity 7
64.2°, intensity 19
64.3°, intensity 10
71.3°, intensity 20
84.5°, intensity 4

a = 6.4924 Å, b = 13.7421 Å, c = 9.1632 Å
α = 90.00°, β = 90.01°, γ = 90.00°
Space group P2_1/c (No. 14)
Symmetry-distinct sites (fractional):
K  0.2494  0.0866  0.1362
K  0.2495  0.0885  0.6152
K  0.2509  0.7474  0.6262
Br  0.2506  0.5797  0.3736
Cl  0.2491  0.2466  0.8751
Cl  0.2504  0.5848  0.8783